1.
Diffraction record for PuScP2. The powder diffraction line list is calculated, not measured: it uses a DFT-relaxed cell (GGA-PBE, Alexandria) and a wavelength of 1.5418 Å.
Neutral-atom scattering factors, no anomalous dispersion.

Atomic structure:
Unit cell a=3.8960 b=3.8960 c=18.7463 alpha=90.00 beta=90.00 gamma=120.00
Sites, in units of the cell vectors:
Pu: 0.0000 0.0000 0.0000
Pu: 0.3333 0.6667 0.6667
Pu: 0.6667 0.3333 0.3333
Sc: 0.0000 0.0000 0.5000
Sc: 0.3333 0.6667 0.1667
Sc: 0.6667 0.3333 0.8333
P: 0.0000 0.0000 0.2466
P: 0.0000 0.0000 0.7534
P: 0.3333 0.6667 0.4201
P: 0.3333 0.6667 0.9133
P: 0.6667 0.3333 0.0867
P: 0.6667 0.3333 0.5799

Largest 6 diffraction maxima, by angle, 2θ = 15–90°:
26.8 deg, 3.321 Å, rel. 50
28.1 deg, 3.175 Å, rel. 59
32.7 deg, 2.738 Å, rel. 100
35.8 deg, 2.508 Å, rel. 26
46.6 deg, 1.948 Å, rel. 37
47.2 deg, 1.925 Å, rel. 35

=====

2.
Diffraction record for F. The powder diffraction line list is calculated, not measured: it uses a DFT-relaxed cell (GGA-PBE, Alexandria) and a wavelength of 1.5418 Å.
Neutral-atom scattering factors, no anomalous dispersion.

Atomic structure:
Unit cell a=9.2676 b=9.2676 c=2.9949 alpha=90.00 beta=90.00 gamma=90.00
Sites, in units of the cell vectors:
F: 0.0029 0.3047 0.0000
F: 0.1154 0.1993 0.0000
F: 0.1953 0.5029 0.5000
F: 0.1993 0.8846 0.0000
F: 0.3007 0.6154 0.5000
F: 0.3047 0.9971 0.0000
F: 0.3846 0.3007 0.5000
F: 0.4971 0.1953 0.5000
F: 0.5029 0.8047 0.5000
F: 0.6154 0.6993 0.5000
F: 0.6953 0.0029 0.0000
F: 0.6993 0.3846 0.5000
F: 0.8007 0.1154 0.0000
F: 0.8047 0.4971 0.5000
F: 0.8846 0.8007 0.0000
F: 0.9971 0.6953 0.0000

Largest 6 diffraction maxima, by angle, 2θ = 15–90°:
27.2 deg, 3.277 Å, rel. 60
30.5 deg, 2.931 Å, rel. 45
31.4 deg, 2.850 Å, rel. 79
37.0 deg, 2.427 Å, rel. 100
41.3 deg, 2.184 Å, rel. 38
58.6 deg, 1.576 Å, rel. 19

=====

3.
Diffraction record for Ga2Cu2Au7. The powder diffraction line list is calculated, not measured: it uses a DFT-relaxed cell (GGA-PBE, Alexandria) and a wavelength of 1.5418 Å.
Neutral-atom scattering factors, no anomalous dispersion.

Atomic structure:
Unit cell a=6.7343 b=6.7343 c=5.1152 alpha=109.24 beta=109.24 gamma=93.32
Sites, in units of the cell vectors:
Ga: 0.2107 0.2107 0.9997
Ga: 0.7893 0.7893 0.0003
Cu: 0.2358 0.7642 0.5000
Cu: 0.7642 0.2358 0.5000
Au: 0.0782 0.5767 0.8198
Au: 0.1382 0.1382 0.4347
Au: 0.4233 0.9218 0.1802
Au: 0.5000 0.5000 0.0000
Au: 0.5767 0.0782 0.8198
Au: 0.8618 0.8618 0.5653
Au: 0.9218 0.4233 0.1802

Largest 6 diffraction maxima, by angle, 2θ = 15–90°:
21.3 deg, 4.163 Å, rel. 40
36.7 deg, 2.449 Å, rel. 98
39.9 deg, 2.261 Å, rel. 79
40.9 deg, 2.209 Å, rel. 42
43.3 deg, 2.089 Å, rel. 100
44.4 deg, 2.040 Å, rel. 40

=====

4.
Diffraction record for BaZn2Ru2O7. The powder diffraction line list is calculated, not measured: it uses a DFT-relaxed cell (GGA-PBE, Alexandria) and a wavelength of 1.5418 Å.
Neutral-atom scattering factors, no anomalous dispersion.

Atomic structure:
Unit cell a=9.7035 b=9.7035 c=9.7035 alpha=157.55 beta=34.05 gamma=154.74
Sites, in units of the cell vectors:
Ba: 0.0000 0.0000 0.0000
Zn: 0.2151 0.4873 0.7278
Zn: 0.7595 0.4873 0.2722
Ru: 0.3796 0.9901 0.3895
Ru: 0.6006 0.9901 0.6105
O: 0.1183 0.4989 0.6194
O: 0.2640 0.9880 0.2761
O: 0.3829 0.4936 0.8893
O: 0.5404 0.0404 0.5000
O: 0.6043 0.4936 0.1107
O: 0.7119 0.9880 0.7239
O: 0.8795 0.4989 0.3806

Largest 6 diffraction maxima, by angle, 2θ = 15–90°:
27.7 deg, 3.224 Å, rel. 87
32.0 deg, 2.794 Å, rel. 100
33.2 deg, 2.700 Å, rel. 99
38.8 deg, 2.320 Å, rel. 37
42.6 deg, 2.122 Å, rel. 53
48.2 deg, 1.889 Å, rel. 37

=====

5.
Diffraction record for Mn2CrNi7As2. The powder diffraction line list is calculated, not measured: it uses a DFT-relaxed cell (GGA-PBE, Alexandria) and a wavelength of 1.5418 Å.
Neutral-atom scattering factors, no anomalous dispersion.

Atomic structure:
Unit cell a=3.5910 b=3.5910 c=11.4076 alpha=90.00 beta=90.00 gamma=90.32
Sites, in units of the cell vectors:
Mn: 0.0000 0.0000 0.1802
Mn: 0.0000 0.0000 0.8198
Cr: 0.5000 0.5000 0.5000
Ni: 0.0000 0.0000 0.5000
Ni: 0.0000 0.5000 0.3472
Ni: 0.0000 0.5000 0.6528
Ni: 0.2576 0.7424 0.0000
Ni: 0.5000 0.0000 0.3472
Ni: 0.5000 0.0000 0.6528
Ni: 0.7424 0.2576 0.0000
As: 0.5000 0.5000 0.1879
As: 0.5000 0.5000 0.8121

Largest 6 diffraction maxima, by angle, 2θ = 15–90°:
36.3 deg, 2.472 Å, rel. 20
42.7 deg, 2.116 Å, rel. 100
42.9 deg, 2.108 Å, rel. 42
47.8 deg, 1.901 Å, rel. 33
48.1 deg, 1.893 Å, rel. 23
50.9 deg, 1.795 Å, rel. 28

=====

6.
Diffraction record for Mg5Cl3. The powder diffraction line list is calculated, not measured: it uses a DFT-relaxed cell (GGA-PBE, Alexandria) and a wavelength of 1.5418 Å.
Neutral-atom scattering factors, no anomalous dispersion.

Atomic structure:
Unit cell a=9.1652 b=12.1248 c=3.3355 alpha=90.00 beta=90.00 gamma=90.00
Sites, in units of the cell vectors:
Mg: 0.0000 0.0000 0.0000
Mg: 0.2183 0.5000 0.5000
Mg: 0.2500 0.2500 0.0000
Mg: 0.2500 0.7500 0.0000
Mg: 0.2817 0.0000 0.5000
Mg: 0.5000 0.5000 0.0000
Mg: 0.7183 0.0000 0.5000
Mg: 0.7500 0.2500 0.0000
Mg: 0.7500 0.7500 0.0000
Mg: 0.7817 0.5000 0.5000
Cl: 0.0000 0.2469 0.5000
Cl: 0.0000 0.5000 0.0000
Cl: 0.0000 0.7531 0.5000
Cl: 0.5000 0.0000 0.0000
Cl: 0.5000 0.2531 0.5000
Cl: 0.5000 0.7469 0.5000

Largest 6 diffraction maxima, by angle, 2θ = 15–90°:
29.5 deg, 3.031 Å, rel. 48
36.5 deg, 2.464 Å, rel. 100
39.3 deg, 2.291 Å, rel. 18
49.9 deg, 1.828 Å, rel. 17
56.9 deg, 1.617 Å, rel. 24
69.4 deg, 1.354 Å, rel. 10

=====

Q: Number 6 is which compound?
A: Mg5Cl3